[1]
Diffraction record for Li2Zr2P3O12. The powder diffractogram is theoretical, not measured: it uses a DFT-relaxed cell (GGA-PBE, the Materials Project) and λ = 1.5418 Å (Cu Kα).

Atomic structure:
```
data_Li2Zr2P3O12
_space_group_name_H-M_alt 'P 1'
_space_group_IT_number 1
_cell_length_a 8.9380
_cell_length_b 8.9380
_cell_length_c 8.9093
_cell_angle_alpha 119.03
_cell_angle_beta 119.03
_cell_angle_gamma 62.75
loop_
_space_group_symop_operation_xyz
'x,y,z'
loop_
_atom_site_label
_atom_site_type_symbol
_atom_site_fract_x
_atom_site_fract_y
_atom_site_fract_z
Li1 Li 0.1725 0.3088 0.0420
Li2 Li 0.3088 0.1725 0.5420
Li3 Li 0.6912 0.8275 0.4580
Li4 Li 0.8275 0.6912 0.9580
Zr1 Zr 0.1426 0.6395 0.8559
Zr2 Zr 0.3605 0.8574 0.6441
Zr3 Zr 0.6395 0.1426 0.3559
Zr4 Zr 0.8574 0.3605 0.1441
P1 P 0.0379 0.9621 0.2500
P2 P 0.2564 0.4468 0.4590
P3 P 0.4468 0.2564 0.9590
P4 P 0.5532 0.7436 0.0410
P5 P 0.7436 0.5532 0.5410
P6 P 0.9621 0.0379 0.7500
O1 O 0.0051 0.1198 0.1996
O2 O 0.0486 0.7815 0.0887
O3 O 0.1073 0.4279 0.2677
O4 O 0.1198 0.0051 0.6996
O5 O 0.1898 0.4658 0.6013
O6 O 0.2185 0.9514 0.4113
O7 O 0.2662 0.4085 0.9450
O8 O 0.3173 0.6058 0.5139
O9 O 0.3942 0.6827 0.9861
O10 O 0.4085 0.2662 0.4450
O11 O 0.4279 0.1073 0.7677
O12 O 0.4658 0.1898 0.1013
O13 O 0.5342 0.8102 0.8987
O14 O 0.5721 0.8927 0.2323
O15 O 0.5915 0.7338 0.5550
O16 O 0.6058 0.3173 0.0139
O17 O 0.6827 0.3942 0.4861
O18 O 0.7338 0.5915 0.0550
O19 O 0.7815 0.0486 0.5887
O20 O 0.8102 0.5342 0.3987
O21 O 0.8802 0.9949 0.3004
O22 O 0.8927 0.5721 0.7323
O23 O 0.9514 0.2185 0.9113
O24 O 0.9949 0.8802 0.8004
```

Main lines, in order of rising 2θ (2θ from 15° to 90°):
| 2θ (°) | intensity |
| --- | --- |
| 19.62 | 59 |
| 19.90 | 100 |
| 22.75 | 33 |
| 23.13 | 29 |
| 23.30 | 31 |
| 27.72 | 47 |
| 33.68 | 25 |
| 34.51 | 31 |

[2]
Diffraction record for LiZr2P3O12. The powder diffractogram is theoretical, not measured: it uses a DFT-relaxed cell (GGA-PBE, the Materials Project) and λ = 1.5418 Å (Cu Kα).

Atomic structure:
```
data_LiZr2P3O12
_space_group_name_H-M_alt 'P 1'
_space_group_IT_number 1
_cell_length_a 7.5946
_cell_length_b 8.0304
_cell_length_c 9.9553
_cell_angle_alpha 67.68
_cell_angle_beta 67.71
_cell_angle_gamma 68.59
loop_
_space_group_symop_operation_xyz
'x,y,z'
loop_
_atom_site_label
_atom_site_type_symbol
_atom_site_fract_x
_atom_site_fract_y
_atom_site_fract_z
Li1 Li 0.0707 0.1871 0.3694
Li2 Li 0.9293 0.8129 0.6306
Zr1 Zr 0.1406 0.1402 0.0673
Zr2 Zr 0.3524 0.3354 0.4444
Zr3 Zr 0.6476 0.6646 0.5556
Zr4 Zr 0.8594 0.8598 0.9327
P1 P 0.0789 0.7009 0.1960
P2 P 0.2108 0.4954 0.7668
P3 P 0.4912 0.9691 0.7553
P4 P 0.5088 0.0309 0.2447
P5 P 0.7892 0.5046 0.2332
P6 P 0.9211 0.2991 0.8040
O1 O 0.0362 0.9018 0.2023
O2 O 0.0526 0.6780 0.7871
O3 O 0.0945 0.7175 0.0327
O4 O 0.1153 0.3878 0.7078
O5 O 0.1361 0.2475 0.4928
O6 O 0.2463 0.5686 0.2605
O7 O 0.2569 0.3670 0.9146
O8 O 0.3020 0.0841 0.2170
O9 O 0.3349 0.0050 0.9045
O10 O 0.3854 0.5303 0.6326
O11 O 0.4704 0.8062 0.7211
O12 O 0.4821 0.1416 0.6188
O13 O 0.5179 0.8584 0.3812
O14 O 0.5296 0.1938 0.2789
O15 O 0.6146 0.4697 0.3674
O16 O 0.6651 0.9950 0.0955
O17 O 0.6980 0.9159 0.7830
O18 O 0.7431 0.6330 0.0854
O19 O 0.7537 0.4314 0.7395
O20 O 0.8639 0.7525 0.5072
O21 O 0.8847 0.6122 0.2922
O22 O 0.9055 0.2825 0.9673
O23 O 0.9474 0.3220 0.2129
O24 O 0.9638 0.0982 0.7977
```

Main lines, in order of rising 2θ (2θ from 15° to 90°):
| 2θ (°) | intensity |
| --- | --- |
| 15.48 | 90 |
| 17.97 | 72 |
| 18.57 | 100 |
| 22.49 | 79 |
| 23.60 | 56 |
| 27.27 | 97 |
| 28.77 | 60 |
| 30.70 | 55 |

[3]
Diffraction record for LiPaO3. The powder diffractogram is theoretical, not measured: it uses a DFT-relaxed cell (GGA-PBE, the Materials Project) and λ = 1.5418 Å (Cu Kα).

Atomic structure:
```
data_LiPaO3
_space_group_name_H-M_alt 'P 1'
_space_group_IT_number 1
_cell_length_a 4.3394
_cell_length_b 4.3394
_cell_length_c 4.3394
_cell_angle_alpha 90.00
_cell_angle_beta 90.00
_cell_angle_gamma 90.00
loop_
_space_group_symop_operation_xyz
'x,y,z'
loop_
_atom_site_label
_atom_site_type_symbol
_atom_site_fract_x
_atom_site_fract_y
_atom_site_fract_z
Li1 Li 0.0000 0.0000 0.0000
Pa1 Pa 0.5000 0.5000 0.5000
O1 O 0.0000 0.5000 0.5000
O2 O 0.5000 0.0000 0.5000
O3 O 0.5000 0.5000 0.0000
```

Main lines, in order of rising 2θ (2θ from 15° to 90°):
| 2θ (°) | intensity |
| --- | --- |
| 20.47 | 100 |
| 29.10 | 68 |
| 35.84 | 17 |
| 41.62 | 23 |
| 46.81 | 47 |
| 51.59 | 30 |
| 64.41 | 23 |
| 83.32 | 16 |

[4]
Diffraction record for LiPmO3. The powder diffractogram is theoretical, not measured: it uses a DFT-relaxed cell (GGA-PBE, the Materials Project) and λ = 1.5418 Å (Cu Kα).

Atomic structure:
```
data_LiPmO3
_space_group_name_H-M_alt 'P 1'
_space_group_IT_number 1
_cell_length_a 3.7461
_cell_length_b 3.7461
_cell_length_c 3.7461
_cell_angle_alpha 90.00
_cell_angle_beta 90.00
_cell_angle_gamma 90.00
loop_
_space_group_symop_operation_xyz
'x,y,z'
loop_
_atom_site_label
_atom_site_type_symbol
_atom_site_fract_x
_atom_site_fract_y
_atom_site_fract_z
Li1 Li 0.0000 0.0000 0.0000
Pm1 Pm 0.5000 0.5000 0.5000
O1 O 0.0000 0.0000 0.5000
O2 O 0.0000 0.5000 0.0000
O3 O 0.5000 0.0000 0.0000
```

Main lines, in order of rising 2θ (2θ from 15° to 90°):
| 2θ (°) | intensity |
| --- | --- |
| 23.75 | 100 |
| 33.84 | 97 |
| 41.76 | 71 |
| 48.61 | 37 |
| 54.80 | 44 |
| 60.54 | 38 |
| 71.19 | 22 |
| 86.08 | 23 |

[5]
Diffraction record for Li2PrO3. The powder diffractogram is theoretical, not measured: it uses a DFT-relaxed cell (GGA-PBE, the Materials Project) and λ = 1.5418 Å (Cu Kα).

Atomic structure:
```
data_Li2PrO3
_space_group_name_H-M_alt 'P 1'
_space_group_IT_number 1
_cell_length_a 5.4618
_cell_length_b 5.4618
_cell_length_c 3.6935
_cell_angle_alpha 90.00
_cell_angle_beta 90.00
_cell_angle_gamma 130.17
loop_
_space_group_symop_operation_xyz
'x,y,z'
loop_
_atom_site_label
_atom_site_type_symbol
_atom_site_fract_x
_atom_site_fract_y
_atom_site_fract_z
Li1 Li 0.1556 0.8444 0.0000
Li2 Li 0.8444 0.1556 0.0000
Pr1 Pr 0.5000 0.5000 0.5000
O1 O 0.0000 0.0000 0.5000
O2 O 0.3500 0.6500 0.0000
O3 O 0.6500 0.3500 0.0000
```

Main lines, in order of rising 2θ (2θ from 15° to 90°):
| 2θ (°) | intensity |
| --- | --- |
| 17.91 | 81 |
| 21.29 | 100 |
| 24.09 | 25 |
| 30.18 | 65 |
| 32.37 | 44 |
| 41.61 | 39 |
| 44.02 | 28 |
| 50.20 | 38 |